Entry 1:
This entry pairs a crystal structure of K2B10H13O2 with its calculated powder diffractogram. Radiation: a wavelength of 1.5418 Å. Structure: a PBE-relaxed structure.
Peak positions follow from Bragg's law for the DFT cell and can differ from measured ones.

Crystal structure
a = 7.179 Å, b = 7.786 Å, c = 10.548 Å
α = 102.61°, β = 90.46°, γ = 98.07°
Space group P-1 (No. 2)
One atom of each set of equivalent atoms:
K: 0.207 0.258 0.429 (multiplicity 2)
K: 0.224 0.581 0.858 (multiplicity 2)
B: 0.164 0.611 0.318 (multiplicity 2)
B: 0.186 0.766 0.210 (multiplicity 2)
B: 0.219 0.846 0.384 (multiplicity 2)
B: 0.225 0.551 0.160 (multiplicity 2)
B: 0.367 0.696 0.428 (multiplicity 2)
B: 0.396 0.552 0.273 (multiplicity 2)
B: 0.397 0.915 0.277 (multiplicity 2)
B: 0.418 0.707 0.165 (multiplicity 2)
B: 0.451 0.917 0.437 (multiplicity 2)
B: 0.455 0.235 0.679 (multiplicity 2)
H: 0.029 0.531 0.358 (multiplicity 2)
H: 0.069 0.822 0.153 (multiplicity 2)
H: 0.097 0.918 0.440 (multiplicity 2)
H: 0.155 0.431 0.074 (multiplicity 2)
H: 0.164 0.910 0.792 (multiplicity 2)
H: 0.230 0.863 0.649 (multiplicity 2)
H: 0.242 0.979 0.050 (multiplicity 2)
H: 0.286 0.234 0.680 (multiplicity 2)
H: 0.369 0.073 0.957 (multiplicity 2)
H: 0.378 0.636 0.524 (multiplicity 2)
H: 0.433 0.052 0.239 (multiplicity 2)
H: 0.462 0.417 0.272 (multiplicity 2)
H: 0.493 0.292 0.932 (multiplicity 2)
O: 0.134 0.826 0.707 (multiplicity 2)
O: 0.273 0.971 0.959 (multiplicity 2)

The 10 most intense peaks (10 to 90 degrees two-theta), sorted by position:
h k l  d/Å  two_theta  intensity
1 -1 0  5.585  15.87  37
1 1 -1  4.682  18.95  52
-1 1 1  4.655  19.07  49
1 0 -2  4.247  20.92  45
1 0 2  4.089  21.74  41
2 0 0  3.555  25.05  100
0 1 -3  3.419  26.07  41
0 2 1  3.301  27.01  36
0 3 -2  2.479  36.24  57
-1 2 3  2.262  39.86  32

=====

Entry 2:
This entry pairs a crystal structure of TlSn2Pb10 with its calculated powder diffractogram. Radiation: a wavelength of 1.5418 Å. Structure: a PBE-relaxed structure.
Peak positions follow from Bragg's law for the DFT cell and can differ from measured ones.

Crystal structure
a = 6.406 Å, b = 16.308 Å, c = 16.351 Å
α = 90.00°, β = 90.00°, γ = 90.00°
Space group Fmmm (No. 69)
One atom of each set of equivalent atoms:
Tl: 0.000 0.000 0.000 (multiplicity 4)
Sn: 0.250 0.250 0.000 (multiplicity 8)
Pb: 0.000 0.108 0.395 (multiplicity 16)
Pb: 0.000 0.178 0.174 (multiplicity 16)
Pb: 0.250 0.000 0.250 (multiplicity 8)

The 10 most intense peaks (10 to 90 degrees two-theta), sorted by position:
h k l  d/Å  two_theta  intensity
1 3 3  3.299  27.03  43
2 0 0  3.203  27.85  19
0 4 4  2.887  30.98  52
1 5 1  2.864  31.23  100
2 2 2  2.801  31.95  55
0 2 6  2.582  34.74  34
1 5 3  2.566  34.97  33
2 0 4  2.520  35.63  59
3 5 1  1.777  51.43  26
2 6 6  1.650  55.72  30